The following is a simulated X-ray powder pattern of NdFe10Mo2. It was derived from a crystal structure in the Materials Project, relaxed with GGA-PBE, using λ = 1.5418 Å (Cu Kα).
Peak positions follow from Bragg's law for the DFT cell and can differ from measured ones.

Largest 10 diffraction maxima, by angle, 5 to 70 degrees two-theta:
2.997 Å, 2θ = 29.8°, I = 18.3, hkl 1 1 2
2.752 Å, 2θ = 32.5°, I = 14.2, hkl 0 1 3
2.471 Å, 2θ = 36.4°, I = 29.1, hkl 1 0 3
2.460 Å, 2θ = 36.5°, I = 31.7, hkl 1 3 0
2.356 Å, 2θ = 38.2°, I = 20.2, hkl 2 0 0
2.177 Å, 2θ = 41.5°, I = 22.0, hkl 0 0 4
2.164 Å, 2θ = 41.7°, I = 34.2, hkl 0 4 0
2.144 Å, 2θ = 42.1°, I = 100.0, hkl 1 2 3
2.070 Å, 2θ = 43.7°, I = 67.9, hkl 2 2 0
1.869 Å, 2θ = 48.7°, I = 25.9, hkl 2 2 2

Crystal structure
Lattice parameters (Å, degrees): 4.7116 8.6546 8.7075 90.00 90.00 90.00
Space group Immm (No. 71)
Asymmetric unit:
Nd1 0.0000 0.0000 0.0000 [2 per cell]
Fe1 0.0000 0.2758 0.5000 [4 per cell]
Fe2 0.0000 0.3592 0.0000 [4 per cell]
Fe3 0.0000 0.5000 0.2704 [4 per cell]
Fe4 0.2500 0.2500 0.2500 [8 per cell]
Mo1 0.0000 0.0000 0.3585 [4 per cell]